# 1
Structure and theoretical powder X-ray diffraction pattern of SrCaAu2 (a cell relaxed with PBE; Cu Kα (weighted mean of Kα1 and Kα2)).
Intensities are scaled so that the largest is 100.

The 10 most intense peaks (2θ = 10–90°), most intense first:
28.3°, rel. 100, (1 1 2); 42.7°, rel. 64, (3 1 2); 31.3°, rel. 60, (2 2 0); 22.0°, rel. 35, (2 0 0); 53.6°, rel. 27, (2 0 4); 44.8°, rel. 22, (4 0 0); 72.4°, rel. 21, (4 2 4); 63.7°, rel. 18, (5 1 2); 53.9°, rel. 15, (3 3 2); 72.6°, rel. 12, (5 3 2)

Cell and atoms:
a b c (Å): 8.085 8.085 7.546
angles (deg): 90.00 90.00 90.00
Space group I-42d (No. 122)
Symmetry-distinct sites (fractional):
Sr (0.000, 0.000, 0.000)
Ca (0.000, 0.000, 0.500)
Au (0.231, 0.250, 0.625)

# 2
Structure and theoretical powder X-ray diffraction pattern of SrCa4Au2 (a cell relaxed with PBE; Cu Kα (weighted mean of Kα1 and Kα2)).
Intensities are scaled so that the largest is 100.

The 10 most intense peaks (2θ = 10–90°), most intense first:
35.4°, rel. 100, (2 2 0); 33.5°, rel. 90, (3 0 -2); 26.4°, rel. 73, (0 2 0); 22.8°, rel. 61, (1 1 1); 34.3°, rel. 57, (2 2 -1); 10.8°, rel. 57, (0 0 1); 24.3°, rel. 53, (1 1 -2); 18.1°, rel. 47, (1 1 -1); 31.3°, rel. 47, (1 1 2); 37.6°, rel. 45, (2 0 2)

Cell and atoms:
a b c (Å): 8.290 6.763 8.862
angles (deg): 90.00 112.21 90.00
Space group P2_1/m (No. 11)
Symmetry-distinct sites (fractional):
Sr (0.002, 0.250, 0.346)
Ca (0.241, 0.001, 0.079)
Ca (0.343, 0.250, 0.767)
Ca (0.386, 0.750, 0.516)
Au (0.019, 0.750, 0.224)
Au (0.413, 0.750, 0.872)

# 3
Structure and theoretical powder X-ray diffraction pattern of Sr2CaAu6 (a cell relaxed with PBE; Cu Kα (weighted mean of Kα1 and Kα2)).
Intensities are scaled so that the largest is 100.

The 10 most intense peaks (2θ = 10–90°), most intense first:
32.0°, rel. 100, (1 1 1); 37.5°, rel. 98, (3 0 0); 44.8°, rel. 58, (3 0 1); 23.6°, rel. 50, (0 0 1); 62.6°, rel. 44, (3 0 2); 50.1°, rel. 29, (2 2 1); 21.4°, rel. 27, (1 1 0); 64.2°, rel. 27, (4 1 1); 87.3°, rel. 19, (3 3 2); 67.7°, rel. 18, (3 3 0)

Cell and atoms:
a b c (Å): 8.3089 8.3089 3.7766
angles (deg): 90.00 90.00 120.00
Space group P6/mmm (No. 191)
Symmetry-distinct sites (fractional):
Sr (0.3333, 0.6667, 0.0000)
Ca (0.0000, 0.0000, 0.0000)
Au (0.0000, 0.3315, 0.5000)

# 4
Structure and theoretical powder X-ray diffraction pattern of Ca2TaAu (a cell relaxed with PBE; Cu Kα (weighted mean of Kα1 and Kα2)).
Intensities are scaled so that the largest is 100.

The 10 most intense peaks (2θ = 10–90°), most intense first:
35.6°, rel. 100, (1 1 2); 18.3°, rel. 93, (0 1 1); 33.4°, rel. 34, (0 2 0); 36.0°, rel. 31, (1 0 3); 49.9°, rel. 25, (1 2 3); 31.2°, rel. 22, (0 0 4); 42.9°, rel. 22, (0 1 5); 61.1°, rel. 21, (1 3 2); 46.4°, rel. 15, (0 2 4); 45.2°, rel. 14, (1 1 4)

Cell and atoms:
a b c (Å): 3.298 5.365 11.469
angles (deg): 90.00 90.00 90.00
Space group Imm2 (No. 44)
Symmetry-distinct sites (fractional):
Ca (0.000, 0.000, 0.000)
Ca (0.000, 0.500, 0.204)
Ta (0.000, 0.500, 0.779)
Au (0.000, 0.000, 0.469)

# 5
Structure and theoretical powder X-ray diffraction pattern of Ca2Tb2Au3 (a cell relaxed with PBE; Cu Kα (weighted mean of Kα1 and Kα2)).
Intensities are scaled so that the largest is 100.

The 10 most intense peaks (2θ = 10–90°), most intense first:
35.2°, rel. 100, (1 1 0); 35.1°, rel. 90, (0 1 8); 20.4°, rel. 59, (1 0 1); 63.2°, rel. 51, (3 0 0); 48.4°, rel. 32, (1 1 9); 50.6°, rel. 32, (2 0 8); 32.1°, rel. 19, (0 0 9); 85.1°, rel. 15, (3 1 8); 21.3°, rel. 12, (0 1 2); 62.8°, rel. 12, (1 0 16)

Cell and atoms:
a b c (Å): 5.0942 5.0942 25.1127
angles (deg): 90.00 90.00 120.00
Space group R-3m (No. 166, hexagonal axes)
Symmetry-distinct sites (fractional):
Ca (0.0000, 0.0000, 0.1261)
Tb (0.0000, 0.0000, 0.3767)
Au (0.0000, 0.0000, 0.2604)
Au (0.0000, 0.0000, 0.5000)

# 6
Structure and theoretical powder X-ray diffraction pattern of Ca6Tl5Au (a cell relaxed with PBE; Cu Kα (weighted mean of Kα1 and Kα2)).
Intensities are scaled so that the largest is 100.

The 10 most intense peaks (2θ = 10–90°), most intense first:
32.9°, rel. 100, (1 3 2); 23.2°, rel. 40, (1 3 0); 58.7°, rel. 22, (2 0 4); 23.0°, rel. 20, (0 0 2); 33.1°, rel. 20, (2 0 0); 59.0°, rel. 15, (3 3 2); 47.4°, rel. 14, (2 6 0); 53.3°, rel. 13, (2 6 2); 69.0°, rel. 11, (2 6 4); 40.7°, rel. 10, (2 0 2)

Cell and atoms:
a b c (Å): 5.411 16.334 7.728
angles (deg): 90.00 90.00 90.00
Space group Cmmm (No. 65)
Symmetry-distinct sites (fractional):
Ca (0.000, 0.000, 0.237)
Ca (0.000, 0.340, 0.245)
Tl (0.000, 0.170, 0.500)
Tl (0.000, 0.174, 0.000)
Tl (0.000, 0.500, 0.500)
Au (0.000, 0.500, 0.000)

# 7
Structure and theoretical powder X-ray diffraction pattern of Ca2TlAu (a cell relaxed with PBE; Cu Kα (weighted mean of Kα1 and Kα2)).
Intensities are scaled so that the largest is 100.

The 10 most intense peaks (2θ = 10–90°), most intense first:
33.7°, rel. 100, (1 1 1); 33.9°, rel. 49, (2 0 0); 23.8°, rel. 49, (1 1 0); 60.5°, rel. 37, (3 1 1); 23.5°, rel. 25, (0 0 1); 41.6°, rel. 24, (2 0 1); 60.1°, rel. 19, (2 0 2); 48.6°, rel. 18, (2 2 0); 70.8°, rel. 12, (2 2 2); 54.3°, rel. 11, (1 1 2)

Cell and atoms:
a b c (Å): 5.295 5.295 3.783
angles (deg): 90.00 90.00 90.00
Space group P4/mmm (No. 123)
Symmetry-distinct sites (fractional):
Ca (0.000, 0.500, 0.000)
Tl (0.000, 0.000, 0.500)
Au (0.500, 0.500, 0.500)

# 8
Structure and theoretical powder X-ray diffraction pattern of CaTl2Au (a cell relaxed with PBE; Cu Kα (weighted mean of Kα1 and Kα2)).
Intensities are scaled so that the largest is 100.

The 10 most intense peaks (2θ = 10–90°), most intense first:
33.1°, rel. 100, (1 1 2); 37.8°, rel. 35, (2 0 0); 65.3°, rel. 29, (3 1 2); 55.9°, rel. 23, (2 0 4); 21.1°, rel. 18, (1 0 1); 39.6°, rel. 15, (0 0 4); 67.7°, rel. 15, (1 1 6); 54.5°, rel. 12, (2 2 0); 69.5°, rel. 12, (2 2 4); 43.7°, rel. 6, (2 1 1)

Cell and atoms:
a b c (Å): 4.760 4.760 9.103
angles (deg): 90.00 90.00 90.00
Space group I-4m2 (No. 119)
Symmetry-distinct sites (fractional):
Ca (0.000, 0.000, 0.000)
Tl (0.000, 0.000, 0.500)
Tl (0.000, 0.500, 0.750)
Au (0.000, 0.500, 0.250)

# 9
Structure and theoretical powder X-ray diffraction pattern of Ca11Tl9Au4 (a cell relaxed with PBE; Cu Kα (weighted mean of Kα1 and Kα2)).
Intensities are scaled so that the largest is 100.

The 10 most intense peaks (2θ = 10–90°), most intense first:
33.3°, rel. 100, (4 6 0); 23.3°, rel. 46, (0 0 1); 41.0°, rel. 21, (4 6 1); 59.4°, rel. 19, (4 6 2); 23.4°, rel. 15, (4 0 0); 47.7°, rel. 14, (0 0 2); 53.8°, rel. 13, (0 6 2); 59.6°, rel. 8, (8 6 1); 54.0°, rel. 7, (8 0 1); 31.6°, rel. 7, (3 3 1)

Cell and atoms:
a b c (Å): 15.194 22.888 3.814
angles (deg): 90.00 90.00 90.00
Space group Cmmm (No. 65)
Symmetry-distinct sites (fractional):
Ca (0.000, 0.000, 0.000)
Ca (0.000, 0.164, 0.000)
Ca (0.000, 0.364, 0.000)
Ca (0.207, 0.500, 0.000)
Ca (0.244, 0.171, 0.000)
Tl (0.000, 0.500, 0.500)
Tl (0.109, 0.260, 0.500)
Tl (0.137, 0.076, 0.500)
Au (0.148, 0.402, 0.500)

# 10
Structure and theoretical powder X-ray diffraction pattern of Ca2Tl2Au (a cell relaxed with PBE; Cu Kα (weighted mean of Kα1 and Kα2)).
Intensities are scaled so that the largest is 100.

The 10 most intense peaks (2θ = 10–90°), most intense first:
32.1°, rel. 100, (1 5 0); 35.2°, rel. 64, (1 1 1); 41.1°, rel. 62, (1 5 1); 25.0°, rel. 57, (0 0 1); 35.7°, rel. 50, (0 6 1); 24.4°, rel. 33, (1 1 0); 61.7°, rel. 31, (1 5 2); 59.9°, rel. 29, (1 11 1); 25.1°, rel. 28, (0 6 0); 30.2°, rel. 20, (0 4 1)

Cell and atoms:
a b c (Å): 3.701 21.259 3.568
angles (deg): 90.00 90.00 90.00
Space group Cmmm (No. 65)
Symmetry-distinct sites (fractional):
Ca (0.000, 0.084, 0.000)
Tl (0.000, 0.310, 0.500)
Au (0.000, 0.500, 0.500)

# 11
Structure and theoretical powder X-ray diffraction pattern of CaTm3Au2 (a cell relaxed with PBE; Cu Kα (weighted mean of Kα1 and Kα2)).
Intensities are scaled so that the largest is 100.

The 10 most intense peaks (2θ = 10–90°), most intense first:
32.4°, rel. 100, (1 1 2); 35.6°, rel. 98, (1 3 0); 36.8°, rel. 72, (2 0 0); 29.9°, rel. 64, (1 2 1); 30.7°, rel. 37, (1 0 2); 43.7°, rel. 36, (1 3 2); 43.0°, rel. 33, (1 1 3); 42.6°, rel. 32, (0 2 3); 57.6°, rel. 29, (2 2 3); 10.0°, rel. 27, (0 1 0)

Cell and atoms:
a b c (Å): 4.881 8.839 7.256
angles (deg): 90.00 90.00 90.00
Space group Pmc2_1 (No. 26)
Symmetry-distinct sites (fractional):
Ca (0.000, 0.073, 0.000)
Tm (0.000, 0.328, 0.628)
Tm (0.500, 0.179, 0.333)
Tm (0.500, 0.427, 0.961)
Au (0.000, 0.359, 0.233)
Au (0.500, 0.152, 0.726)

# 12
Structure and theoretical powder X-ray diffraction pattern of CaY2TmAu4 (a cell relaxed with PBE; Cu Kα (weighted mean of Kα1 and Kα2)).
Intensities are scaled so that the largest is 100.

The 10 most intense peaks (2θ = 10–90°), most intense first:
35.4°, rel. 100, (1 1 0); 35.2°, rel. 97, (0 1 8); 63.4°, rel. 35, (1 2 8); 50.8°, rel. 34, (2 0 8); 24.8°, rel. 26, (1 0 4); 63.6°, rel. 18, (3 0 0); 85.6°, rel. 16, (3 1 8); 62.9°, rel. 16, (1 0 16); 85.1°, rel. 14, (2 1 16); 10.6°, rel. 12, (0 0 3)

Cell and atoms:
a b c (Å): 5.0684 5.0684 25.0997
angles (deg): 90.00 90.00 120.00
Space group R-3m (No. 166, hexagonal axes)
Symmetry-distinct sites (fractional):
Ca (0.0000, 0.0000, 0.0000)
Y (0.0000, 0.0000, 0.2514)
Tm (0.0000, 0.0000, 0.5000)
Au (0.0000, 0.0000, 0.1306)
Au (0.0000, 0.0000, 0.3800)